Starting from a GGA-PBE-relaxed structure, the X-ray diffraction stick pattern of YZrTl2Pt was calculated for Cu Ka.
Kinematic intensities with the Lorentz-polarization factor, no thermal factor.

```
data_YZrTl2Pt
_chemical_formula_sum 'Y1 Zr1 Tl2 Pt1'
_cell_length_a 5.602
_cell_length_b 5.602
_cell_length_c 4.982
_cell_angle_alpha 90.00
_cell_angle_beta 90.00
_cell_angle_gamma 90.00
_symmetry_space_group_name_H-M 'P 4/m m m'
_symmetry_Int_Tables_number 123
_symmetry_space_group_name_Hall '-P 4 2'
loop_
_atom_site_label
_atom_site_type_symbol
_atom_site_fract_x
_atom_site_fract_y
_atom_site_fract_z
_atom_site_occupancy
Y1 Y 0.000 0.000 0.000 1
Zr1 Zr 0.500 0.500 0.500 1
Tl1 Tl 0.000 0.500 0.000 1
Pt1 Pt 0.000 0.000 0.500 1
```

Largest 8 diffraction maxima, sorted by position, 2θ = 10–80°:
hkl 1 0 0, 15.8 deg, d = 5.602 Å, I = 21; hkl 1 1 1, 28.8 deg, d = 3.100 Å, I = 100; hkl 2 0 0, 32.0 deg, d = 2.801 Å, I = 66; hkl 0 0 2, 36.1 deg, d = 2.491 Å, I = 24; hkl 2 2 0, 45.8 deg, d = 1.980 Å, I = 24; hkl 2 0 2, 48.9 deg, d = 1.861 Å, I = 40; hkl 3 1 1, 55.0 deg, d = 1.669 Å, I = 34; hkl 2 2 2, 59.6 deg, d = 1.550 Å, I = 22

Starting from a GGA-PBE-relaxed structure, the X-ray diffraction stick pattern of HfCoSe2 was calculated for Cu Ka.
Kinematic intensities with the Lorentz-polarization factor, no thermal factor.

```
data_HfCoSe2
_chemical_formula_sum 'Hf4 Co4 Se8'
_cell_length_a 5.677
_cell_length_b 5.677
_cell_length_c 11.322
_cell_angle_alpha 90.00
_cell_angle_beta 90.00
_cell_angle_gamma 90.00
_symmetry_space_group_name_H-M 'I -4 2 d'
_symmetry_Int_Tables_number 122
_symmetry_space_group_name_Hall 'I -4 2bw'
loop_
_atom_site_label
_atom_site_type_symbol
_atom_site_fract_x
_atom_site_fract_y
_atom_site_fract_z
_atom_site_occupancy
Hf1 Hf 0.000 0.000 0.000 1
Co1 Co 0.000 0.000 0.500 1
Se1 Se 0.215 0.250 0.625 1
```

Largest 8 diffraction maxima, sorted by position, 2θ = 10–80°:
hkl 1 0 1, 17.5 deg, d = 5.075 Å, I = 13; hkl 1 1 2, 27.2 deg, d = 3.274 Å, I = 100; hkl 1 0 3, 28.4 deg, d = 3.143 Å, I = 10; hkl 2 1 1, 36.3 deg, d = 2.477 Å, I = 12; hkl 2 0 4, 45.2 deg, d = 2.005 Å, I = 69; hkl 3 1 2, 53.6 deg, d = 1.711 Å, I = 28; hkl 1 1 6, 53.7 deg, d = 1.708 Å, I = 15; hkl 3 1 6, 72.7 deg, d = 1.301 Å, I = 11

Starting from a GGA-PBE-relaxed structure, the X-ray diffraction stick pattern of K5F6 was calculated for Cu Ka.
Kinematic intensities with the Lorentz-polarization factor, no thermal factor.

```
data_K5F6
_chemical_formula_sum 'K10 F12'
_cell_length_a 6.738
_cell_length_b 11.686
_cell_length_c 6.577
_cell_angle_alpha 90.00
_cell_angle_beta 109.56
_cell_angle_gamma 90.00
_symmetry_space_group_name_H-M 'C 1 2/m 1'
_symmetry_Int_Tables_number 12
_symmetry_space_group_name_Hall '-C 2y'
loop_
_atom_site_label
_atom_site_type_symbol
_atom_site_fract_x
_atom_site_fract_y
_atom_site_fract_z
_atom_site_occupancy
K1 K 0.000 0.000 0.000 1
K2 K 0.000 0.168 0.500 1
K3 K 0.000 0.346 0.000 1
F1 F 0.229 0.000 0.759 1
F2 F 0.229 0.180 0.230 1
```

Largest 8 diffraction maxima, sorted by position, 2θ = 10–80°:
hkl 1 1 0, 15.9 deg, d = 5.579 Å, I = 13; hkl 2 0 0, 28.2 deg, d = 3.169 Å, I = 17; hkl 1 3 1, 32.8 deg, d = 2.734 Å, I = 100; hkl 2 0 -2, 32.9 deg, d = 2.719 Å, I = 50; hkl 3 3 -1, 46.7 deg, d = 1.946 Å, I = 47; hkl 2 0 2, 47.4 deg, d = 1.919 Å, I = 15; hkl 1 3 -3, 47.6 deg, d = 1.911 Å, I = 29; hkl 2 6 -2, 58.3 deg, d = 1.583 Å, I = 13

Starting from a GGA-PBE-relaxed structure, the X-ray diffraction stick pattern of CsKRb2Ge was calculated for Cu Ka.
Kinematic intensities with the Lorentz-polarization factor, no thermal factor.

```
data_CsKRb2Ge
_chemical_formula_sum 'Cs1 K1 Rb2 Ge1'
_cell_length_a 7.111
_cell_length_b 7.111
_cell_length_c 6.856
_cell_angle_alpha 90.00
_cell_angle_beta 90.00
_cell_angle_gamma 90.00
_symmetry_space_group_name_H-M 'P 4/m m m'
_symmetry_Int_Tables_number 123
_symmetry_space_group_name_Hall '-P 4 2'
loop_
_atom_site_label
_atom_site_type_symbol
_atom_site_fract_x
_atom_site_fract_y
_atom_site_fract_z
_atom_site_occupancy
Cs1 Cs 0.000 0.000 0.000 1
K1 K 0.500 0.500 0.000 1
Rb1 Rb 0.000 0.500 0.500 1
Ge1 Ge 0.500 0.500 0.500 1
```

Largest 8 diffraction maxima, sorted by position, 2θ = 10–80°:
hkl 1 0 1, 18.0 deg, d = 4.935 Å, I = 58; hkl 1 1 1, 21.9 deg, d = 4.054 Å, I = 100; hkl 2 0 0, 25.0 deg, d = 3.555 Å, I = 87; hkl 0 0 2, 26.0 deg, d = 3.428 Å, I = 40; hkl 2 2 0, 35.7 deg, d = 2.514 Å, I = 34; hkl 2 0 2, 36.4 deg, d = 2.468 Å, I = 64; hkl 3 1 1, 42.3 deg, d = 2.137 Å, I = 34; hkl 2 2 2, 44.7 deg, d = 2.027 Å, I = 35

> Number 1 is which compound?

YZrTl2Pt